Record 1
Starting from a structure optimized by DFT (GGA-PBE), the powder diffractogram of Hf4Mg2Ti was computed for λ = 1.5418 Å (Cu Kα).

Largest 6 diffraction maxima, sorted by position, 2θ = 10–90°:
| d [Å] | Position (°2θ) | intensity |
| --- | --- | --- |
| 8.182 | 10.8 | 1000 |
| 2.684 | 33.4 | 292 |
| 2.579 | 34.8 | 866 |
| 2.462 | 36.5 | 770 |
| 2.178 | 41.4 | 735 |
| 1.543 | 60.0 | 499 |

Cell and atoms:
Cell lengths 3.092, 32.729, 3.083 Å; angles 90.00, 90.00, 90.00 degrees
Positions (direct):
1 Hf 0.000 0.065 0.000
2 Hf 0.000 0.368 0.500
3 Hf 0.000 0.632 0.500
4 Hf 0.000 0.935 0.000
5 Hf 0.500 0.132 0.500
6 Hf 0.500 0.435 0.000
7 Hf 0.500 0.565 0.000
8 Hf 0.500 0.868 0.500
9 Mg 0.000 0.207 0.000
10 Mg 0.000 0.793 0.000
11 Mg 0.500 0.293 0.000
12 Mg 0.500 0.707 0.000
13 Ti 0.000 0.500 0.500
14 Ti 0.500 0.000 0.500

***

Record 2
Starting from a structure optimized by DFT (GGA-PBE), the powder diffractogram of Tm3HfMg2 was computed for λ = 1.5418 Å (Cu Kα).

Largest 6 diffraction maxima, sorted by position, 2θ = 10–90°:
| d [Å] | Position (°2θ) | intensity |
| --- | --- | --- |
| 4.592 | 19.3 | 129 |
| 2.727 | 32.8 | 1000 |
| 2.396 | 37.5 | 351 |
| 2.296 | 39.2 | 152 |
| 1.658 | 55.4 | 224 |
| 1.439 | 64.8 | 284 |

Cell and atoms:
Cell lengths 3.389, 3.389, 13.775 Å; angles 90.00, 90.00, 90.00 degrees
Positions (direct):
1 Tm 0.000 0.000 0.000
2 Tm 0.000 0.000 0.339
3 Tm 0.000 0.000 0.661
4 Hf 0.500 0.500 0.500
5 Mg 0.500 0.500 0.165
6 Mg 0.500 0.500 0.835

***

Record 3
Starting from a structure optimized by DFT (GGA-PBE), the powder diffractogram of HfMg6W was computed for λ = 1.5418 Å (Cu Kα).

Largest 6 diffraction maxima, sorted by position, 2θ = 10–90°:
| d [Å] | Position (°2θ) | intensity |
| --- | --- | --- |
| 5.551 | 16.0 | 384 |
| 5.340 | 16.6 | 1000 |
| 2.670 | 33.6 | 296 |
| 2.659 | 33.7 | 264 |
| 2.416 | 37.2 | 395 |
| 2.346 | 38.4 | 355 |

Cell and atoms:
Cell lengths 4.911, 6.090, 11.101 Å; angles 90.00, 90.00, 90.00 degrees
Positions (direct):
1 Hf 0.000 0.000 0.000
2 Hf 0.000 0.500 0.500
3 Mg 0.000 0.000 0.472
4 Mg 0.000 0.243 0.230
5 Mg 0.000 0.257 0.730
6 Mg 0.000 0.500 0.972
7 Mg 0.000 0.743 0.730
8 Mg 0.000 0.757 0.230
9 Mg 0.500 0.000 0.628
10 Mg 0.500 0.246 0.876
11 Mg 0.500 0.254 0.376
12 Mg 0.500 0.500 0.128
13 Mg 0.500 0.746 0.376
14 Mg 0.500 0.754 0.876
15 W 0.500 0.000 0.106
16 W 0.500 0.500 0.606

***

Please write out number 1 again, unchanged.
Starting from a structure optimized by DFT (GGA-PBE), the powder diffractogram of Hf4Mg2Ti was computed for λ = 1.5418 Å (Cu Kα).

Largest 6 diffraction maxima, sorted by position, 2θ = 10–90°:
| d [Å] | Position (°2θ) | intensity |
| --- | --- | --- |
| 8.182 | 10.8 | 1000 |
| 2.684 | 33.4 | 292 |
| 2.579 | 34.8 | 866 |
| 2.462 | 36.5 | 770 |
| 2.178 | 41.4 | 735 |
| 1.543 | 60.0 | 499 |

Cell and atoms:
Cell lengths 3.092, 32.729, 3.083 Å; angles 90.00, 90.00, 90.00 degrees
Positions (direct):
1 Hf 0.000 0.065 0.000
2 Hf 0.000 0.368 0.500
3 Hf 0.000 0.632 0.500
4 Hf 0.000 0.935 0.000
5 Hf 0.500 0.132 0.500
6 Hf 0.500 0.435 0.000
7 Hf 0.500 0.565 0.000
8 Hf 0.500 0.868 0.500
9 Mg 0.000 0.207 0.000
10 Mg 0.000 0.793 0.000
11 Mg 0.500 0.293 0.000
12 Mg 0.500 0.707 0.000
13 Ti 0.000 0.500 0.500
14 Ti 0.500 0.000 0.500